The following is a theoretical powder diffraction line list of Cr6Co2CuSe12. It was derived from a structure optimized by DFT (PBE), using Cu Kα.

Structural model:
```
data_Cr6Co2CuSe12
_chemical_formula_sum 'Cr12 Co4 Cu2 Se24'
_space_group_name_H-M_alt 'C 1 2/m 1'
_space_group_IT_number 12
_cell_length_a 12.742
_cell_length_b 3.669
_cell_length_c 17.097
_cell_angle_alpha 90.00
_cell_angle_beta 102.15
_cell_angle_gamma 90.00
loop_
_space_group_symop_operation_xyz
'x,y,z'
'-x,-y,-z'
'-x,y,-z'
'x,-y,z'
'x+1/2,y+1/2,z'
'-x+1/2,-y+1/2,-z'
'-x+1/2,y+1/2,-z'
'x+1/2,-y+1/2,z'
loop_
_atom_site_label
_atom_site_fract_x
_atom_site_fract_y
_atom_site_fract_z
Cr1 0.001 0.000 0.259
Cr2 0.167 0.500 0.407
Cr3 0.167 0.500 0.927
Co1 0.167 0.000 0.166
Cu1 0.000 0.500 0.500
Se1 0.030 0.500 0.156
Se2 0.033 0.500 0.652
Se3 0.135 0.000 0.019
Se4 0.145 0.000 0.507
Se5 0.196 0.000 0.824
Se6 0.198 0.000 0.314
```

Most intense lines, 2θ from 10° to 80°, in order of rising 2θ:
2theta, intensity, index
32.27, 98, 1 1 -4
32.57, 50, 3 1 0
32.73, 52, 4 0 2
42.88, 45, 3 1 -6
43.35, 51, 5 1 -2
49.72, 100, 0 2 0